[1]
Diffraction record for PmNpSeS2. The X-ray powder pattern is calculated, not measured: it uses a cell relaxed with PBE and Cu Kα (weighted mean of Kα1 and Kα2).

Peak list (10 most intense, 10° ≤ 2θ ≤ 90°, most intense first)
28.54 deg, I 100, (1 0 3); 28.94 deg, I 50, (1 1 0); 21.41 deg, I 47, (1 0 1); 51.04 deg, I 41, (2 1 3); 39.63 deg, I 37, (1 1 4); 41.39 deg, I 35, (2 0 0); 39.33 deg, I 25, (1 0 5); 58.41 deg, I 16, (2 1 5); 70.71 deg, I 13, (2 0 8); 47.06 deg, I 13, (2 1 1)

Cell and atoms:
```
data_PmNpSeS2
_chemical_formula_sum 'Pm2 Np2 Se2 S4'
_cell_length_a 4.363
_cell_length_b 4.363
_cell_length_c 13.460
_cell_angle_alpha 90.00
_cell_angle_beta 90.00
_cell_angle_gamma 90.00
_symmetry_space_group_name_H-M 'I 4 m m'
_symmetry_Int_Tables_number 107
_symmetry_space_group_name_Hall 'I 4 -2'
loop_
_atom_site_label
_atom_site_fract_x
_atom_site_fract_y
_atom_site_fract_z
_atom_site_occupancy
Pm1 0.000 0.000 0.000 1
Np1 0.000 0.000 0.263 1
Se1 0.000 0.000 0.631 1
S1 0.000 0.500 0.377 1
```

---

[2]
Diffraction record for PmNp4Sb5. The X-ray powder pattern is calculated, not measured: it uses a cell relaxed with PBE and Cu Kα (weighted mean of Kα1 and Kα2).

Peak list (10 most intense, 10° ≤ 2θ ≤ 90°, most intense first)
28.60 deg, I 100, (1 0 5); 40.89 deg, I 77, (2 0 0); 67.05 deg, I 36, (3 0 5); 50.66 deg, I 28, (2 2 0); 74.46 deg, I 27, (3 2 5); 24.70 deg, I 14, (0 1 5); 59.21 deg, I 13, (0 4 0); 48.36 deg, I 8, (1 1 10); 88.62 deg, I 7, (2 4 10); 65.14 deg, I 3, (0 1 15)

Cell and atoms:
```
data_PmNp4Sb5
_chemical_formula_sum 'Pm2 Np8 Sb10'
_cell_length_a 4.412
_cell_length_b 6.241
_cell_length_c 22.084
_cell_angle_alpha 90.00
_cell_angle_beta 90.00
_cell_angle_gamma 90.00
_symmetry_space_group_name_H-M 'I m m m'
_symmetry_Int_Tables_number 71
_symmetry_space_group_name_Hall '-I 2 2'
loop_
_atom_site_label
_atom_site_fract_x
_atom_site_fract_y
_atom_site_fract_z
_atom_site_occupancy
Pm1 0.000 0.000 0.000 1
Np1 0.000 0.000 0.202 1
Np2 0.000 0.000 0.400 1
Sb1 0.000 0.500 0.000 1
Sb2 0.000 0.500 0.199 1
Sb3 0.000 0.500 0.397 1
```

---

[3]
Diffraction record for Pm5NpSb6. The X-ray powder pattern is calculated, not measured: it uses a cell relaxed with PBE and Cu Kα (weighted mean of Kα1 and Kα2).

Peak list (10 most intense, 10° ≤ 2θ ≤ 90°, most intense first)
28.18 deg, I 100, (1 3 1); 40.28 deg, I 77, (2 0 2); 65.97 deg, I 35, (3 3 3); 49.89 deg, I 27, (4 0 0); 73.22 deg, I 26, (1 3 5); 58.28 deg, I 13, (2 6 2); 87.05 deg, I 9, (4 0 4); 24.34 deg, I 4, (2 0 0); 47.62 deg, I 2, (4 0 -2); 64.09 deg, I 1, (5 3 -1)

Cell and atoms:
```
data_Pm5NpSb6
_chemical_formula_sum 'Pm10 Np2 Sb12'
_cell_length_a 7.754
_cell_length_b 13.434
_cell_length_c 7.758
_cell_angle_alpha 90.00
_cell_angle_beta 109.46
_cell_angle_gamma 90.00
_symmetry_space_group_name_H-M 'C 1 2/m 1'
_symmetry_Int_Tables_number 12
_symmetry_space_group_name_Hall '-C 2y'
loop_
_atom_site_label
_atom_site_fract_x
_atom_site_fract_y
_atom_site_fract_z
_atom_site_occupancy
Pm1 0.000 0.000 0.000 1
Pm2 0.000 0.166 0.500 1
Pm3 0.000 0.332 0.000 1
Np1 0.000 0.500 0.500 1
Sb1 0.246 0.500 0.252 1
Sb2 0.247 0.336 0.747 1
```

---

[4]
Diffraction record for PmNp6Se8. The X-ray powder pattern is calculated, not measured: it uses a cell relaxed with PBE and Cu Kα (weighted mean of Kα1 and Kα2).

Peak list (10 most intense, 10° ≤ 2θ ≤ 90°, most intense first)
30.86 deg, I 100, (4 0 0); 44.21 deg, I 75, (4 4 0); 73.02 deg, I 34, (8 4 0); 26.64 deg, I 32, (2 2 2); 54.89 deg, I 27, (4 4 4); 81.35 deg, I 26, (8 4 4); 52.37 deg, I 17, (6 2 2); 64.30 deg, I 12, (8 0 0); 15.29 deg, I 11, (2 0 0); 21.69 deg, I 10, (2 2 0)

Cell and atoms:
```
data_PmNp6Se8
_chemical_formula_sum 'Pm4 Np24 Se32'
_cell_length_a 11.589
_cell_length_b 11.589
_cell_length_c 11.589
_cell_angle_alpha 90.00
_cell_angle_beta 90.00
_cell_angle_gamma 90.00
_symmetry_space_group_name_H-M 'F m -3 m'
_symmetry_Int_Tables_number 225
_symmetry_space_group_name_Hall '-F 4 2 3'
loop_
_atom_site_label
_atom_site_fract_x
_atom_site_fract_y
_atom_site_fract_z
_atom_site_occupancy
Pm1 0.000 0.000 0.000 1
Np1 0.000 0.250 0.250 1
Se1 0.000 0.000 0.256 1
Se2 0.250 0.250 0.250 1
```